Entry 1:
Structure and computed powder diffractogram of Sr2NiSe2Cl2O6 (DFT lattice parameters and positions (GGA+U); Cu Kα (weighted mean of Kα1 and Kα2)).

The 10 most intense peaks (2θ from 5° to 70°), low angle first:
- 2θ 27.36, rel. 26.3
- 2θ 29.80, rel. 100.0
- 2θ 31.07, rel. 50.5
- 2θ 31.09, rel. 44.9
- 2θ 31.94, rel. 19.7
- 2θ 33.08, rel. 66.3
- 2θ 35.05, rel. 15.0
- 2θ 43.45, rel. 18.7
- 2θ 43.76, rel. 15.4
- 2θ 52.38, rel. 19.4

a = 5.423 Å, b = 6.519 Å, c = 12.432 Å
α = 89.94°, β = 86.95°, γ = 89.89°
Atoms (fractional coordinates):
Sr  0.015  0.202  0.266
Sr  0.485  0.702  0.234
Sr  0.515  0.298  0.766
Sr  0.985  0.798  0.734
Ni  0.000  0.500  0.000
Ni  0.500  0.000  0.500
Se  0.004  0.260  0.574
Se  0.495  0.761  0.927
Se  0.505  0.239  0.073
Se  0.996  0.740  0.426
Cl  0.051  0.179  0.897
Cl  0.449  0.678  0.603
Cl  0.551  0.322  0.397
Cl  0.949  0.821  0.103
O  0.066  0.571  0.324
O  0.220  0.927  0.395
O  0.243  0.629  0.879
O  0.256  0.127  0.621
O  0.279  0.426  0.105
O  0.436  0.071  0.176
O  0.564  0.929  0.824
O  0.721  0.574  0.895
O  0.744  0.873  0.379
O  0.757  0.371  0.121
O  0.780  0.073  0.605
O  0.934  0.429  0.676

Entry 2:
Structure and computed powder diffractogram of YNi3Se2ClO8 (DFT lattice parameters and positions (GGA+U); Cu Kα (weighted mean of Kα1 and Kα2)).

The 10 most intense peaks (2θ from 5° to 70°), low angle first:
- 2θ 16.60, rel. 32.8
- 2θ 26.27, rel. 37.5
- 2θ 27.81, rel. 24.9
- 2θ 28.56, rel. 24.6
- 2θ 30.53, rel. 49.5
- 2θ 31.13, rel. 100.0
- 2θ 33.59, rel. 49.6
- 2θ 35.90, rel. 63.4
- 2θ 40.30, rel. 27.8
- 2θ 54.06, rel. 52.8

a = 6.416 Å, b = 9.636 Å, c = 7.157 Å
α = 90.00°, β = 90.00°, γ = 90.00°
Atoms (fractional coordinates):
Y  0.250  0.250  0.241
Y  0.750  0.750  0.759
Ni  0.000  0.000  0.500
Ni  0.000  0.500  0.500
Ni  0.250  0.250  0.704
Ni  0.500  0.000  0.500
Ni  0.500  0.500  0.500
Ni  0.750  0.750  0.296
Se  0.250  0.560  0.906
Se  0.250  0.940  0.906
Se  0.750  0.060  0.094
Se  0.750  0.440  0.094
Cl  0.250  0.750  0.358
Cl  0.750  0.250  0.642
O  0.039  0.588  0.760
O  0.039  0.912  0.760
O  0.250  0.113  0.502
O  0.250  0.119  0.925
O  0.250  0.381  0.925
O  0.250  0.387  0.502
O  0.461  0.588  0.760
O  0.461  0.912  0.760
O  0.539  0.088  0.240
O  0.539  0.412  0.240
O  0.750  0.613  0.498
O  0.750  0.619  0.075
O  0.750  0.881  0.075
O  0.750  0.887  0.498
O  0.961  0.088  0.240
O  0.961  0.412  0.240

Entry 3:
Structure and computed powder diffractogram of Ni5Te4Cl2O12 (DFT lattice parameters and positions (GGA+U); Cu Kα (weighted mean of Kα1 and Kα2)).

The 10 most intense peaks (2θ from 5° to 70°), low angle first:
- 2θ 10.89, rel. 65.9
- 2θ 21.88, rel. 34.2
- 2θ 23.88, rel. 25.0
- 2θ 26.54, rel. 47.4
- 2θ 28.37, rel. 100.0
- 2θ 28.92, rel. 47.7
- 2θ 32.16, rel. 26.5
- 2θ 33.76, rel. 43.5
- 2θ 35.96, rel. 22.5
- 2θ 36.17, rel. 49.2

a = 10.276 Å, b = 10.276 Å, c = 16.417 Å
α = 123.73°, β = 123.73°, γ = 29.95°
Atoms (fractional coordinates):
Ni  0.123  0.696  0.527
Ni  0.209  0.773  0.379
Ni  0.227  0.791  0.121
Ni  0.240  0.760  0.750
Ni  0.304  0.877  0.973
Ni  0.696  0.123  0.027
Ni  0.760  0.240  0.250
Ni  0.773  0.209  0.879
Ni  0.791  0.227  0.621
Ni  0.877  0.304  0.473
Te  0.142  0.562  0.120
Te  0.196  0.553  0.862
Te  0.438  0.858  0.380
Te  0.447  0.804  0.638
Te  0.553  0.196  0.362
Te  0.562  0.142  0.620
Te  0.804  0.447  0.138
Te  0.858  0.438  0.880
Cl  0.077  0.450  0.407
Cl  0.450  0.077  0.907
Cl  0.550  0.923  0.093
Cl  0.923  0.550  0.593
O  0.051  0.754  0.980
O  0.065  0.089  0.855
O  0.089  0.065  0.355
O  0.125  0.794  0.857
O  0.206  0.875  0.643
O  0.220  0.547  0.250
O  0.246  0.949  0.520
O  0.307  0.552  0.431
O  0.427  0.444  0.631
O  0.444  0.427  0.131
O  0.448  0.693  0.069
O  0.453  0.780  0.250
O  0.547  0.220  0.750
O  0.552  0.307  0.931
O  0.556  0.573  0.869
O  0.573  0.556  0.369
O  0.693  0.448  0.569
O  0.754  0.051  0.480
O  0.780  0.453  0.750
O  0.794  0.125  0.357
O  0.875  0.206  0.143
O  0.911  0.935  0.645
O  0.935  0.911  0.145
O  0.949  0.246  0.020